Starting from a crystal structure in Alexandria, relaxed with GGA+U, the powder diffraction line list of NaZnFe2F6 was computed for Cu Kα, 1.54184 Å.
Lines closer than 0.1° are merged.

Largest 6 diffraction maxima, in order of rising 2θ, 10° ≤ 2θ ≤ 90°:
d = 2.917 Å, rel. 64, hkl 1 0 1; d = 2.903 Å, rel. 68, hkl 1 1 -1; d = 2.869 Å, rel. 64, hkl 0 1 2; d = 2.847 Å, rel. 100, hkl -1 1 1; d = 2.811 Å, rel. 45, hkl 2 1 0; d = 2.063 Å, rel. 50, hkl 0 2 0

Structural model:
```
data_NaZnFe2F6
_chemical_formula_sum 'Na1 Zn1 Fe2 F6'
_symmetry_space_group_name_H-M 'P 1'
_symmetry_Int_Tables_number 1
_cell_length_a 5.623
_cell_length_b 5.691
_cell_length_c 5.740
_cell_angle_alpha 61.11
_cell_angle_beta 89.82
_cell_angle_gamma 60.52
loop_
_symmetry_equiv_pos_as_xyz
'x,y,z'
loop_
_atom_site_label
_atom_site_type_symbol
_atom_site_fract_x
_atom_site_fract_y
_atom_site_fract_z
Na1 Na 0.000 0.000 0.000
Zn1 Zn 0.504 0.970 0.528
Fe1 Fe 0.279 0.439 0.846
Fe2 Fe 0.774 0.447 0.334
F1 F 0.037 0.536 0.119
F2 F 0.135 0.939 0.608
F3 F 0.422 0.939 0.133
F4 F 0.555 0.313 0.607
F5 F 0.628 0.321 0.101
F6 F 0.933 0.519 0.625
```